Na2CuCl4: computed powder XRD pattern (Cu Kα), based on a structure optimized by DFT (PBE).

Most intense lines, 15° ≤ 2θ ≤ 90°, sorted by position:
2theta  I (rel.)
18.8  100
23.1  50
30.8  42
38.1  83
39.2  36
47.1  53

Structural model:
Lattice parameters (Å, degrees): 6.742 7.708 12.884 90.00 90.00 90.00
Space group Pbca (No. 61)
Asymmetric unit:
Na 0.005 0.119 0.144 [8 per cell]
Cu 0.000 0.000 0.500 [4 per cell]
Cl 0.121 0.027 0.667 [8 per cell]
Cl 0.219 0.152 0.950 [8 per cell]

Li2AcAg2: computed powder XRD pattern (Cu Kα), based on a structure optimized by DFT (PBE).

Most intense lines, 15° ≤ 2θ ≤ 90°, sorted by position:
2theta  I (rel.)
29.4  100
32.7  25
40.8  36
42.2  19
52.3  22
60.1  23

Structural model:
Lattice parameters (Å, degrees): 4.283 4.283 12.920 90.00 90.00 90.00
Space group I4/mmm (No. 139)
Asymmetric unit:
Li 0.000 0.500 0.250 [4 per cell]
Ac 0.000 0.000 0.000 [2 per cell]
Ag 0.000 0.000 0.387 [4 per cell]

In2Cu2O5: computed powder XRD pattern (Cu Kα), based on a structure optimized by DFT (PBE).

Most intense lines, 15° ≤ 2θ ≤ 90°, sorted by position:
2theta  I (rel.)
21.9  31
32.3  100
33.3  74
34.4  51
45.7  29
48.7  30

Structural model:
Lattice parameters (Å, degrees): 10.724 3.348 12.464 90.00 90.00 90.00
Space group Pna2_1 (No. 33)
Asymmetric unit:
In 0.038 0.214 0.000 [4 per cell]
In 0.212 0.216 0.329 [4 per cell]
Cu 0.009 0.333 0.718 [4 per cell]
Cu 0.240 0.159 0.611 [4 per cell]
O 0.070 0.284 0.568 [4 per cell]
O 0.078 0.729 0.359 [4 per cell]
O 0.125 0.323 0.165 [4 per cell]
O 0.172 0.713 0.971 [4 per cell]
O 0.179 0.211 0.762 [4 per cell]

BaGa3Pd5: computed powder XRD pattern (Cu Kα), based on a structure optimized by DFT (PBE).

Most intense lines, 15° ≤ 2θ ≤ 90°, sorted by position:
2theta  I (rel.)
30.9  91
32.9  54
36.1  74
40.6  41
43.0  49
44.2  100

Structural model:
Lattice parameters (Å, degrees): 4.095 13.241 12.911 90.00 90.00 90.00
Space group Cmcm (No. 63)
Asymmetric unit:
Ba 0.000 0.169 0.250 [4 per cell]
Ga 0.000 0.101 0.750 [4 per cell]
Ga 0.000 0.380 0.537 [8 per cell]
Pd 0.000 0.000 0.000 [4 per cell]
Pd 0.000 0.196 0.568 [8 per cell]
Pd 0.000 0.453 0.143 [8 per cell]

Dy12ErTh5: computed powder XRD pattern (Cu Kα), based on a structure optimized by DFT (PBE).

Most intense lines, 15° ≤ 2θ ≤ 90°, sorted by position:
2theta  I (rel.)
30.8  100
30.9  99
35.6  34
35.8  67
51.4  61
61.3  29

Structural model:
Lattice parameters (Å, degrees): 18.466 10.623 6.165 90.00 109.30 90.00
Space group C2/m (No. 12)
Asymmetric unit:
Dy 0.000 0.163 0.000 [4 per cell]
Dy 0.000 0.335 0.500 [4 per cell]
Dy 0.167 0.165 0.832 [8 per cell]
Dy 0.167 0.335 0.336 [8 per cell]
Er 0.000 0.500 0.000 [2 per cell]
Th 0.000 0.000 0.500 [2 per cell]
Th 0.167 0.000 0.331 [4 per cell]
Th 0.167 0.500 0.830 [4 per cell]

TbEr2Te3: computed powder XRD pattern (Cu Kα), based on a structure optimized by DFT (PBE).

Most intense lines, 15° ≤ 2θ ≤ 90°, sorted by position:
2theta  I (rel.)
24.7  23
27.3  41
34.0  100
43.5  41
56.3  24
65.9  24

Structural model:
Lattice parameters (Å, degrees): 7.2145 7.2145 23.1928 90.00 90.00 120.00
Space group R-3c (No. 167, hexagonal axes)
Asymmetric unit:
Tb 0.0000 0.0000 0.0000 [6 per cell]
Er 0.0000 0.0000 0.1661 [12 per cell]
Te 0.0000 0.3303 0.2500 [18 per cell]

CoNi4H3: computed powder XRD pattern (Cu Kα), based on a structure optimized by DFT (PBE).

Most intense lines, 15° ≤ 2θ ≤ 90°, sorted by position:
2theta  I (rel.)
40.5  35
42.7  41
46.0  100
46.2  49
73.6  15
88.8  13

Structural model:
Lattice parameters (Å, degrees): 8.872 4.459 6.633 90.00 112.39 90.00
Space group Cc (No. 9)
Asymmetric unit:
Co 0.000 0.165 0.000 [4 per cell]
Ni 0.098 0.330 0.698 [4 per cell]
Ni 0.202 0.165 0.398 [4 per cell]
Ni 0.304 0.332 0.102 [4 per cell]
Ni 0.404 0.166 0.800 [4 per cell]
H 0.095 0.497 0.448 [4 per cell]
H 0.205 0.003 0.651 [4 per cell]
H 0.308 0.492 0.846 [4 per cell]

Mn2CrNiSb2: computed powder XRD pattern (Cu Kα), based on a structure optimized by DFT (PBE).

Most intense lines, 15° ≤ 2θ ≤ 90°, sorted by position:
2theta  I (rel.)
25.5  97
25.7  38
42.1  100
42.5  95
50.0  36
61.3  30

Structural model:
Lattice parameters (Å, degrees): 4.2906 4.2906 20.7869 90.00 90.00 120.00
Space group R3m (No. 160, hexagonal axes)
Asymmetric unit:
Mn 0.0000 0.0000 0.0000 [3 per cell]
Mn 0.0000 0.0000 0.4955 [3 per cell]
Cr 0.0000 0.0000 0.7486 [3 per cell]
Ni 0.0000 0.0000 0.2541 [3 per cell]
Sb 0.0000 0.0000 0.1281 [3 per cell]
Sb 0.0000 0.0000 0.6216 [3 per cell]

Ba2Re: computed powder XRD pattern (Cu Kα), based on a structure optimized by DFT (PBE).

Most intense lines, 15° ≤ 2θ ≤ 90°, sorted by position:
2theta  I (rel.)
26.1  51
26.4  100
28.0  77
30.0  54
35.1  52
35.7  52

Structural model:
Lattice parameters (Å, degrees): 18.295 4.104 6.908 90.00 103.08 90.00
Space group C2/m (No. 12)
Asymmetric unit:
Ba 0.085 0.000 0.307 [4 per cell]
Ba 0.161 0.500 0.829 [4 per cell]
Re 0.238 0.500 0.404 [4 per cell]